(1)
Computed PXRD pattern
Compound: Sm5Pt3
Radiation: Cu Kα, 1.54184 Å
Structure: a DFT-relaxed cell (GGA-PBE, Alexandria)

Structure:
Unit cell a=11.2644 b=11.2644 c=6.6010 alpha=90.00 beta=90.00 gamma=90.00
Space group P4/ncc (No. 130, origin choice 2)
Asymmetric unit:
Sm1 0.0433 0.1593 0.1214 (multiplicity 16)
Sm2 0.2500 0.7500 0.0000 (multiplicity 4)
Pt1 0.0962 0.5962 0.7500 (multiplicity 8)
Pt2 0.2500 0.2500 0.3824 (multiplicity 4)

Top 8 peaks for 10° ≤ 2θ ≤ 90°, low angle first:
hkl, 2θ (°), I_rel
2 1 1, 22.2, 22
3 1 1, 28.5, 34
3 2 1, 31.7, 32
2 1 2, 32.4, 41
4 2 0, 35.6, 100
3 0 2, 36.2, 22
3 1 2, 37.1, 26
2 1 3, 45.0, 22

(2)
Computed PXRD pattern
Compound: Sm2Pt17
Radiation: Cu Kα, 1.54184 Å
Structure: a DFT-relaxed cell (GGA-PBE, Alexandria)

Structure:
Unit cell a=9.2961 b=9.2961 c=13.4082 alpha=90.00 beta=90.00 gamma=120.00
Space group R-3m (No. 166, hexagonal axes)
Asymmetric unit:
Sm1 0.0000 0.0000 0.1636 (multiplicity 6)
Pt1 0.0000 0.0000 0.3929 (multiplicity 6)
Pt2 0.0000 0.3095 0.5000 (multiplicity 18)
Pt3 0.0000 0.5000 0.0000 (multiplicity 9)
Pt4 0.0057 0.5029 0.6559 (multiplicity 18)

Top 8 peaks for 10° ≤ 2θ ≤ 90°, low angle first:
hkl, 2θ (°), I_rel
3 0 0, 33.4, 33
2 2 0, 38.7, 56
0 3 3, 39.2, 98
0 0 6, 40.4, 54
2 2 3, 43.9, 100
1 1 6, 45.0, 27
6 0 0, 70.1, 31
0 3 9, 72.6, 26

(3)
Computed PXRD pattern
Compound: SmSnPt3
Radiation: Cu Kα, 1.54184 Å
Structure: a DFT-relaxed cell (GGA-PBE, Alexandria)

Structure:
Unit cell a=5.5613 b=7.6894 c=5.3173 alpha=90.00 beta=90.00 gamma=90.00
Space group Pbam (No. 55)
Asymmetric unit:
Sm1 0.0000 0.0000 0.0000 (multiplicity 2)
Sn1 0.0000 0.5000 0.5000 (multiplicity 2)
Pt1 0.0000 0.5000 0.0000 (multiplicity 2)
Pt2 0.0805 0.1689 0.5000 (multiplicity 4)

Top 8 peaks for 10° ≤ 2θ ≤ 90°, low angle first:
hkl, 2θ (°), I_rel
0 2 1, 28.7, 75
2 0 0, 32.2, 70
0 0 2, 33.7, 100
2 1 1, 38.4, 32
1 3 0, 38.7, 48
1 3 1, 42.4, 52
2 0 2, 47.3, 53
1 3 2, 52.2, 41

(4)
Computed PXRD pattern
Compound: Sm2SnPt6
Radiation: Cu Kα, 1.54184 Å
Structure: a DFT-relaxed cell (GGA-PBE, Alexandria)

Structure:
Unit cell a=9.8434 b=5.7400 c=6.4604 alpha=90.00 beta=103.54 gamma=90.00
Space group C2/m (No. 12)
Asymmetric unit:
Sm1 0.1432 0.0000 0.3484 (multiplicity 4)
Sn1 0.0000 0.5000 0.5000 (multiplicity 2)
Pt1 0.1220 0.5000 0.1816 (multiplicity 4)
Pt2 0.1367 0.2377 0.8198 (multiplicity 8)

Top 8 peaks for 10° ≤ 2θ ≤ 90°, low angle first:
hkl, 2θ (°), I_rel
0 0 2, 28.4, 23
1 1 -2, 31.9, 16
4 0 0, 37.6, 100
2 0 2, 37.8, 13
2 2 1, 41.0, 57
4 0 -2, 41.8, 25
0 0 3, 43.2, 13
6 2 -1, 65.6, 21

(5)
Computed PXRD pattern
Compound: Sm4SnPt
Radiation: Cu Kα, 1.54184 Å
Structure: a DFT-relaxed cell (GGA-PBE, Alexandria)

Structure:
Unit cell a=5.5271 b=20.7545 c=6.4752 alpha=90.00 beta=90.00 gamma=90.00
Space group Cmcm (No. 63)
Asymmetric unit:
Sm1 0.0000 0.0521 0.2500 (multiplicity 4)
Sm2 0.0000 0.1998 0.0038 (multiplicity 8)
Sm3 0.0000 0.3954 0.2500 (multiplicity 4)
Sn1 0.0000 0.3454 0.7500 (multiplicity 4)
Pt1 0.0000 0.0821 0.7500 (multiplicity 4)

Top 8 peaks for 10° ≤ 2θ ≤ 90°, low angle first:
hkl, 2θ (°), I_rel
1 1 0, 16.6, 47
0 2 2, 28.9, 56
2 0 0, 32.4, 84
1 7 0, 34.3, 62
1 3 2, 34.6, 100
0 8 1, 37.3, 32
1 5 2, 38.9, 29
2 2 2, 44.0, 36

(6)
Computed PXRD pattern
Compound: SmYSnPt
Radiation: Cu Kα, 1.54184 Å
Structure: a DFT-relaxed cell (GGA-PBE, Alexandria)

Structure:
Unit cell a=7.3626 b=7.3626 c=7.3626 alpha=90.00 beta=90.00 gamma=90.00
Space group F-43m (No. 216)
Asymmetric unit:
Sm1 0.0000 0.0000 0.0000 (multiplicity 4)
Y1 0.0000 0.0000 0.5000 (multiplicity 4)
Sn1 0.2500 0.2500 0.2500 (multiplicity 4)
Pt1 0.2500 0.2500 0.7500 (multiplicity 4)

Top 8 peaks for 10° ≤ 2θ ≤ 90°, low angle first:
hkl, 2θ (°), I_rel
1 1 1, 20.9, 6
2 0 0, 24.2, 2
2 2 0, 34.5, 100
3 1 1, 40.6, 3
4 0 0, 49.5, 18
4 2 2, 61.7, 37
4 4 0, 72.6, 12
6 2 0, 82.9, 17

(7)
Computed PXRD pattern
Compound: Tb3SmPt
Radiation: Cu Kα, 1.54184 Å
Structure: a DFT-relaxed cell (GGA-PBE, Alexandria)

Structure:
Unit cell a=6.5042 b=5.1404 c=8.7313 alpha=90.00 beta=96.54 gamma=90.00
Space group P2_1/m (No. 11)
Asymmetric unit:
Tb1 0.1726 0.2500 0.0199 (multiplicity 2)
Tb2 0.2147 0.2500 0.4424 (multiplicity 2)
Tb3 0.2704 0.7500 0.7546 (multiplicity 2)
Sm1 0.3934 0.7500 0.2126 (multiplicity 2)
Pt1 0.0289 0.2500 0.7092 (multiplicity 2)

Top 8 peaks for 10° ≤ 2θ ≤ 90°, low angle first:
hkl, 2θ (°), I_rel
1 1 -2, 29.2, 34
1 1 2, 31.4, 100
1 0 -3, 32.5, 40
2 1 0, 32.7, 51
2 1 -1, 33.4, 60
0 2 0, 34.9, 70
1 2 -3, 48.4, 34
2 1 -5, 60.4, 31

(8)
Computed PXRD pattern
Compound: Sm5Te4Pt
Radiation: Cu Kα, 1.54184 Å
Structure: a DFT-relaxed cell (GGA-PBE, Alexandria)

Structure:
Unit cell a=9.8435 b=9.8435 c=6.2664 alpha=90.00 beta=90.00 gamma=90.00
Space group I4/m (No. 87)
Asymmetric unit:
Sm1 0.0000 0.0000 0.0000 (multiplicity 2)
Sm2 0.0965 0.7279 0.5000 (multiplicity 8)
Te1 0.0886 0.6923 0.0000 (multiplicity 8)
Pt1 0.0000 0.0000 0.5000 (multiplicity 2)

Top 8 peaks for 10° ≤ 2θ ≤ 90°, low angle first:
hkl, 2θ (°), I_rel
0 0 2, 28.5, 55
3 1 0, 28.7, 100
3 1 2, 40.9, 77
2 4 0, 41.0, 36
2 4 2, 50.7, 39
3 1 4, 66.9, 18
6 2 2, 67.2, 28
1 7 2, 74.6, 20

(9)
Computed PXRD pattern
Compound: Sm2Th2Pt15
Radiation: Cu Kα, 1.54184 Å
Structure: a DFT-relaxed cell (GGA-PBE, Alexandria)

Structure:
Unit cell a=9.4162 b=9.4162 c=14.0522 alpha=90.00 beta=90.00 gamma=120.00
Space group R-3m (No. 166, hexagonal axes)
Asymmetric unit:
Sm1 0.0000 0.0000 0.1352 (multiplicity 6)
Th1 0.0000 0.0000 0.3911 (multiplicity 6)
Pt1 0.0000 0.3149 0.5000 (multiplicity 18)
Pt2 0.0000 0.5000 0.0000 (multiplicity 9)
Pt3 0.0076 0.5038 0.6556 (multiplicity 18)

Top 8 peaks for 10° ≤ 2θ ≤ 90°, low angle first:
hkl, 2θ (°), I_rel
3 0 0, 33.0, 25
0 2 4, 33.7, 18
2 2 0, 38.3, 100
0 0 6, 38.4, 24
2 0 5, 38.9, 17
2 2 3, 43.0, 74
1 1 6, 43.1, 24
6 0 0, 69.1, 22

(10)
Computed PXRD pattern
Compound: SmTh2Pt4
Radiation: Cu Kα, 1.54184 Å
Structure: a DFT-relaxed cell (GGA-PBE, Alexandria)

Structure:
Unit cell a=8.7250 b=8.7250 c=8.6345 alpha=90.00 beta=90.00 gamma=90.00
Space group I-42d (No. 122)
Asymmetric unit:
Sm1 0.0000 0.0000 0.0000 (multiplicity 4)
Th1 0.1280 0.7500 0.6250 (multiplicity 8)
Pt1 0.0818 0.6642 0.9555 (multiplicity 16)

Top 8 peaks for 10° ≤ 2θ ≤ 90°, low angle first:
hkl, 2θ (°), I_rel
3 1 0, 32.5, 100
1 0 3, 32.8, 46
3 2 1, 38.7, 83
2 1 3, 38.9, 46
4 0 2, 46.7, 10
4 2 2, 51.4, 18
6 1 1, 66.1, 23
6 0 2, 68.0, 11

(11)
Computed PXRD pattern
Compound: Sm2Tl2Pt15
Radiation: Cu Kα, 1.54184 Å
Structure: a DFT-relaxed cell (GGA-PBE, Alexandria)

Structure:
Unit cell a=9.4886 b=9.4886 c=13.4714 alpha=90.00 beta=90.00 gamma=120.00
Space group R-3m (No. 166, hexagonal axes)
Asymmetric unit:
Sm1 0.0000 0.0000 0.1419 (multiplicity 6)
Tl1 0.0000 0.0000 0.3934 (multiplicity 6)
Pt1 0.0000 0.3298 0.5000 (multiplicity 18)
Pt2 0.0000 0.5000 0.0000 (multiplicity 9)
Pt3 0.0096 0.5048 0.6643 (multiplicity 18)

Top 8 peaks for 10° ≤ 2θ ≤ 90°, low angle first:
hkl, 2θ (°), I_rel
3 0 0, 32.7, 36
2 2 0, 37.9, 50
0 3 3, 38.5, 95
0 0 6, 40.2, 33
2 2 3, 43.1, 100
1 1 6, 44.7, 29
6 0 0, 68.5, 33
6 0 6, 82.5, 25

(12)
Computed PXRD pattern
Compound: Sm6Tl3Pt
Radiation: Cu Kα, 1.54184 Å
Structure: a DFT-relaxed cell (GGA-PBE, Alexandria)

Structure:
Unit cell a=9.2116 b=12.0278 c=5.3312 alpha=90.00 beta=90.00 gamma=90.00
Space group Pnnm (No. 58)
Asymmetric unit:
Sm1 0.0112 0.2386 0.0000 (multiplicity 4)
Sm2 0.1561 0.0827 0.5000 (multiplicity 4)
Sm3 0.1861 0.4160 0.5000 (multiplicity 4)
Tl1 0.0000 0.5000 0.0000 (multiplicity 2)
Tl2 0.1547 0.7337 0.5000 (multiplicity 4)
Pt1 0.0000 0.0000 0.0000 (multiplicity 2)

Top 8 peaks for 10° ≤ 2θ ≤ 90°, low angle first:
hkl, 2θ (°), I_rel
1 3 1, 29.5, 72
0 0 2, 33.7, 100
2 4 0, 35.6, 26
4 3 0, 45.4, 21
0 4 2, 45.5, 18
1 3 3, 57.6, 17
4 3 2, 57.7, 13
3 0 3, 60.2, 13